Calculated PXRD pattern of LiPu2AlAu6 for CuKα, from a crystal structure in Alexandria, relaxed with PBE.

The 12 most intense peaks (10° ≤ 2θ ≤ 80°), by intensity:
| 2θ/deg | I (rel.) |
| --- | --- |
| 41.04 | 100.0 |
| 31.45 | 94.4 |
| 35.92 | 81.1 |
| 25.68 | 65.2 |
| 36.42 | 64.0 |
| 36.63 | 60.1 |
| 38.15 | 57.8 |
| 32.80 | 49.0 |
| 29.49 | 48.6 |
| 17.77 | 44.6 |
| 36.87 | 43.7 |
| 34.53 | 43.6 |

Structure:
```
data_LiPu2AlAu6
_cell_length_a 5.2783
_cell_length_b 5.8556
_cell_length_c 7.5141
_cell_angle_alpha 100.18
_cell_angle_beta 107.71
_cell_angle_gamma 100.20
_space_group_name_H-M_alt 'P -1'
_space_group_IT_number 2
loop_
_space_group_symop_operation_xyz
'x,y,z'
'-x,-y,-z'
loop_
_atom_site_label
_atom_site_type_symbol
_atom_site_fract_x
_atom_site_fract_y
_atom_site_fract_z
Li1 Li 0.0000 0.0000 0.0000
Pu1 Pu 0.4374 0.7457 0.3187
Al1 Al 0.0000 0.5000 0.5000
Au1 Au 0.0222 0.0824 0.3384
Au2 Au 0.1827 0.4137 0.8972
Au3 Au 0.4879 0.7562 0.7582
```